# 1
For IrOsRu, the GGA-PBE geometry in the Materials Project gives the simulated XRD peak list in this record (Cu Kα (λ = 1.5418 Å)).
No peak broadening, texture or thermal motion is included.

Peak list (7 most intense, 2θ from 5° to 70°, most intense first)
2theta, d (Å), I (rel.)
40.52, 2.226, 100
47.14, 1.928, 49
68.88, 1.363, 31
13.27, 6.674, 9
26.72, 3.337, 3
38.10, 2.362, 3
56.86, 1.619, 2

Cell and atoms:
Unit cell a=2.727 b=2.727 c=6.674 alpha=90.00 beta=90.00 gamma=120.00
Fractional coordinates of all 3 atoms:
1 Ir 0.000 0.000 0.000
2 Os 0.667 0.333 0.337
3 Ru 0.333 0.667 0.660

***

# 2
For ThIrOs, the GGA-PBE geometry in the Materials Project gives the simulated XRD peak list in this record (Cu Kα (λ = 1.5418 Å)).
No peak broadening, texture or thermal motion is included.

Peak list (12 most intense, 2θ from 5° to 70°, most intense first)
2theta, d (Å), I (rel.)
38.49, 2.339, 100
39.77, 2.267, 87
32.56, 2.750, 64
68.20, 1.375, 56
37.57, 2.394, 54
39.65, 2.273, 51
41.30, 2.186, 49
38.00, 2.368, 49
62.71, 1.482, 23
64.21, 1.451, 23
32.34, 2.768, 16
67.69, 1.384, 14

Cell and atoms:
Unit cell a=5.511 b=5.511 c=5.511 alpha=123.34 beta=119.69 gamma=87.43
Fractional coordinates of all 6 atoms:
1 Th 0.372 0.122 0.250
2 Th 0.628 0.878 0.750
3 Ir 0.000 0.500 0.500
4 Ir 0.500 0.500 0.000
5 Os 0.000 0.000 0.500
6 Os 0.000 0.500 0.000

***

# 3
For IrOsW, the GGA-PBE geometry in the Materials Project gives the simulated XRD peak list in this record (Cu Kα (λ = 1.5418 Å)).
No peak broadening, texture or thermal motion is included.

Peak list (7 most intense, 2θ from 5° to 70°, most intense first)
2theta, d (Å), I (rel.)
42.67, 2.119, 100
25.75, 3.460, 28
61.94, 1.498, 17
29.82, 2.996, 14
50.51, 1.807, 14
68.21, 1.375, 6
52.93, 1.730, 4

Cell and atoms:
Unit cell a=4.238 b=4.238 c=4.238 alpha=60.00 beta=60.00 gamma=60.00
Fractional coordinates of all 3 atoms:
1 Ir 0.000 0.000 0.000
2 Os 0.750 0.750 0.750
3 W 0.500 0.500 0.500

***

# 4
For P2Ir, the GGA-PBE geometry in the Materials Project gives the simulated XRD peak list in this record (Cu Kα (λ = 1.5418 Å)).
No peak broadening, texture or thermal motion is included.

Peak list (12 most intense, 2θ from 5° to 70°, most intense first)
2theta, d (Å), I (rel.)
23.92, 3.720, 100
30.63, 2.918, 40
33.19, 2.700, 34
48.92, 1.862, 33
31.14, 2.872, 31
32.58, 2.749, 29
49.75, 1.833, 24
45.78, 1.982, 22
50.57, 1.805, 20
45.32, 2.001, 18
54.77, 1.676, 17
59.60, 1.551, 13

Cell and atoms:
Unit cell a=5.795 b=5.838 c=5.901 alpha=90.00 beta=111.31 gamma=90.00
Fractional coordinates of all 12 atoms:
1 P 0.158 0.119 0.371
2 P 0.158 0.381 0.871
3 P 0.334 0.624 0.689
4 P 0.334 0.876 0.189
5 P 0.666 0.124 0.811
6 P 0.666 0.376 0.311
7 P 0.842 0.619 0.129
8 P 0.842 0.881 0.629
9 Ir 0.272 0.501 0.292
10 Ir 0.272 0.999 0.792
11 Ir 0.728 0.001 0.208
12 Ir 0.728 0.499 0.708

***

# 5
For P3Ir, the GGA-PBE geometry in the Materials Project gives the simulated XRD peak list in this record (Cu Kα (λ = 1.5418 Å)).
No peak broadening, texture or thermal motion is included.

Peak list (12 most intense, 2θ from 5° to 70°, most intense first)
2theta, d (Å), I (rel.)
21.99, 4.042, 100
31.30, 2.858, 90
50.49, 1.807, 72
55.71, 1.650, 47
38.58, 2.333, 38
69.81, 1.347, 16
44.85, 2.021, 15
35.11, 2.556, 10
65.30, 1.429, 9
58.20, 1.585, 4
15.50, 5.716, 2
41.81, 2.160, 2

Cell and atoms:
Unit cell a=7.000 b=7.000 c=7.000 alpha=109.47 beta=109.47 gamma=109.47
Fractional coordinates of all 16 atoms:
1 P 0.139 0.355 0.494
2 P 0.139 0.645 0.785
3 P 0.215 0.861 0.355
4 P 0.355 0.215 0.861
5 P 0.355 0.494 0.139
6 P 0.494 0.139 0.355
7 P 0.506 0.861 0.645
8 P 0.645 0.506 0.861
9 P 0.645 0.785 0.139
10 P 0.785 0.139 0.645
11 P 0.861 0.355 0.215
12 P 0.861 0.645 0.506
13 Ir 0.000 0.000 0.500
14 Ir 0.000 0.500 0.000
15 Ir 0.500 0.000 0.000
16 Ir 0.500 0.500 0.500

***

# 6
For PrPIr, the GGA-PBE geometry in the Materials Project gives the simulated XRD peak list in this record (Cu Kα (λ = 1.5418 Å)).
No peak broadening, texture or thermal motion is included.

Peak list (12 most intense, 2θ from 5° to 70°, most intense first)
2theta, d (Å), I (rel.)
33.06, 2.710, 100
38.27, 2.352, 51
28.56, 3.125, 46
43.71, 2.071, 38
59.47, 1.554, 28
49.81, 1.831, 22
68.40, 1.372, 17
53.04, 1.726, 17
22.35, 3.978, 15
63.53, 1.464, 13
24.93, 3.571, 9
50.97, 1.792, 6

Cell and atoms:
Unit cell a=7.719 b=7.719 c=7.719 alpha=148.87 beta=148.87 gamma=44.60
Fractional coordinates of all 6 atoms:
1 Pr 0.000 0.000 0.000
2 Pr 0.750 0.250 0.500
3 P 0.329 0.829 0.500
4 P 0.579 0.579 0.000
5 Ir 0.161 0.661 0.500
6 Ir 0.411 0.411 0.000

***

# 7
For Si3P3Ir, the GGA-PBE geometry in the Materials Project gives the simulated XRD peak list in this record (Cu Kα (λ = 1.5418 Å)).
No peak broadening, texture or thermal motion is included.

Peak list (12 most intense, 2θ from 5° to 70°, most intense first)
2theta, d (Å), I (rel.)
30.43, 2.938, 100
19.38, 4.581, 84
30.73, 2.909, 49
18.21, 4.872, 47
21.17, 4.197, 46
21.34, 4.163, 42
42.73, 2.116, 32
49.84, 1.830, 29
27.14, 3.286, 29
49.94, 1.826, 25
34.76, 2.581, 19
34.99, 2.565, 19

Cell and atoms:
Unit cell a=4.929 b=4.948 c=5.508 alpha=108.71 beta=107.91 gamma=95.36
Fractional coordinates of all 7 atoms:
1 Si 0.000 0.000 0.000
2 Si 0.124 0.559 0.796
3 Si 0.305 0.747 0.522
4 P 0.418 0.317 0.308
5 P 0.556 0.450 0.007
6 P 0.869 0.863 0.313
7 Ir 0.708 0.155 0.658

***

# 8
For Si2P4Ir, the GGA-PBE geometry in the Materials Project gives the simulated XRD peak list in this record (Cu Kα (λ = 1.5418 Å)).
No peak broadening, texture or thermal motion is included.

Peak list (12 most intense, 2θ from 5° to 70°, most intense first)
2theta, d (Å), I (rel.)
30.42, 2.938, 100
21.08, 4.214, 89
19.64, 4.520, 81
31.23, 2.864, 50
18.16, 4.885, 48
49.55, 1.840, 39
34.45, 2.604, 38
50.55, 1.805, 36
27.45, 3.249, 28
42.93, 2.107, 27
43.50, 2.080, 27
49.27, 1.849, 21

Cell and atoms:
Unit cell a=4.923 b=4.923 c=5.579 alpha=108.73 beta=108.73 gamma=96.70
Fractional coordinates of all 7 atoms:
1 Si 0.087 0.087 0.361
2 Si 0.913 0.913 0.639
3 P 0.210 0.661 0.157
4 P 0.339 0.790 0.843
5 P 0.661 0.210 0.157
6 P 0.790 0.339 0.843
7 Ir 0.500 0.500 0.500